1.
Theoretical powder diffraction line list
Compound: Ba4Cu3SeO6
Radiation: copper Kα
Structure: DFT lattice parameters and positions (GGA-PBE)

Principal peaks in the range 5° ≤ 2θ ≤ 70°, low angle first:
d/Å  two_theta  I (rel.)  h k l
5.615  15.78  1  1 1 0
3.970  22.39  8  2 0 0
3.242  27.51  1  2 1 1
2.807  31.88  100  2 2 0
2.292  39.31  7  2 2 2
2.122  42.60  1  3 2 1
1.985  45.70  24  4 0 0
1.776  51.47  4  4 2 0
1.621  56.80  38  4 2 2
1.404  66.62  15  4 4 0

Crystal structure
Cell lengths 7.9406, 7.9406, 7.9406 Å; angles 90.00, 90.00, 90.00 degrees
Space group Im-3m (No. 229)
Unique sites:
1 Ba 0.2500 0.2500 0.2500
2 Cu 0.0000 0.0000 0.5000
3 Se 0.0000 0.0000 0.0000
4 O 0.0000 0.2500 0.5000

=====

2.
Theoretical powder diffraction line list
Compound: Cs6In3Cl14
Radiation: copper Kα
Structure: DFT lattice parameters and positions (GGA-PBE)

Principal peaks in the range 5° ≤ 2θ ≤ 70°, low angle first:
d/Å  two_theta  I (rel.)  h k l
5.997  14.77  14  1 0 1
4.695  18.90  36  2 -1 1
4.297  20.67  100  2 0 1
3.193  27.94  18  0 3 1
3.080  28.99  26  2 2 0
2.999  29.80  26  0 2 2
2.960  30.20  20  3 1 0
2.740  32.68  26  1 3 1
2.696  33.23  18  2 1 2
2.293  39.30  15  4 -1 2
2.217  40.70  17  4 1 1
2.201  41.00  15  2 0 3

Crystal structure
Cell lengths 12.3218, 12.3218, 7.2504 Å; angles 90.00, 90.00, 120.00 degrees
Space group P3 (No. 143)
Unique sites:
1 Cs 0.0145 0.4561 0.0000
2 Cs 0.2897 0.1979 0.4560
3 In 0.0000 0.0000 0.0210
4 In 0.3333 0.6667 0.5629
5 In 0.6667 0.3333 0.6514
6 Cl 0.0000 0.0000 0.6575
7 Cl 0.0748 0.2241 0.1628
8 Cl 0.2018 0.7412 0.6857
9 Cl 0.3333 0.6667 0.2319
10 Cl 0.4710 0.2633 0.8558
11 Cl 0.5393 0.1345 0.4554

=====

Copy entry 2 word for word.
Theoretical powder diffraction line list
Compound: Cs6In3Cl14
Radiation: copper Kα
Structure: DFT lattice parameters and positions (GGA-PBE)

Principal peaks in the range 5° ≤ 2θ ≤ 70°, low angle first:
d/Å  two_theta  I (rel.)  h k l
5.997  14.77  14  1 0 1
4.695  18.90  36  2 -1 1
4.297  20.67  100  2 0 1
3.193  27.94  18  0 3 1
3.080  28.99  26  2 2 0
2.999  29.80  26  0 2 2
2.960  30.20  20  3 1 0
2.740  32.68  26  1 3 1
2.696  33.23  18  2 1 2
2.293  39.30  15  4 -1 2
2.217  40.70  17  4 1 1
2.201  41.00  15  2 0 3

Crystal structure
Cell lengths 12.3218, 12.3218, 7.2504 Å; angles 90.00, 90.00, 120.00 degrees
Space group P3 (No. 143)
Unique sites:
1 Cs 0.0145 0.4561 0.0000
2 Cs 0.2897 0.1979 0.4560
3 In 0.0000 0.0000 0.0210
4 In 0.3333 0.6667 0.5629
5 In 0.6667 0.3333 0.6514
6 Cl 0.0000 0.0000 0.6575
7 Cl 0.0748 0.2241 0.1628
8 Cl 0.2018 0.7412 0.6857
9 Cl 0.3333 0.6667 0.2319
10 Cl 0.4710 0.2633 0.8558
11 Cl 0.5393 0.1345 0.4554

=====

Repeat the first record exactly.
Theoretical powder diffraction line list
Compound: Ba4Cu3SeO6
Radiation: copper Kα
Structure: DFT lattice parameters and positions (GGA-PBE)

Principal peaks in the range 5° ≤ 2θ ≤ 70°, low angle first:
d/Å  two_theta  I (rel.)  h k l
5.615  15.78  1  1 1 0
3.970  22.39  8  2 0 0
3.242  27.51  1  2 1 1
2.807  31.88  100  2 2 0
2.292  39.31  7  2 2 2
2.122  42.60  1  3 2 1
1.985  45.70  24  4 0 0
1.776  51.47  4  4 2 0
1.621  56.80  38  4 2 2
1.404  66.62  15  4 4 0

Crystal structure
Cell lengths 7.9406, 7.9406, 7.9406 Å; angles 90.00, 90.00, 90.00 degrees
Space group Im-3m (No. 229)
Unique sites:
1 Ba 0.2500 0.2500 0.2500
2 Cu 0.0000 0.0000 0.5000
3 Se 0.0000 0.0000 0.0000
4 O 0.0000 0.2500 0.5000